No. 1
This entry pairs a crystal structure of Na2Tl4SnPb with its simulated powder XRD pattern. Radiation: CuKα. Structure: a structure optimized by DFT (GGA-PBE).
Neutral-atom scattering factors, no anomalous dispersion.

Cell and atoms:
Lattice parameters (Å, degrees): 5.069 5.051 8.996 90.00 90.51 90.00
Positions (direct):
Na 0.000 0.000 0.000
Na 0.500 0.500 0.500
Tl 0.000 0.500 0.255
Tl 0.000 0.500 0.745
Tl 0.499 0.000 0.744
Tl 0.501 0.000 0.256
Sn 0.000 0.000 0.500
Pb 0.500 0.500 0.000

Peak list (10 most intense, 2θ from 5° to 70°, low angle first)
2θ 20.2, 4.403 Å, I 25.4
2θ 24.9, 3.578 Å, I 24.1
2θ 31.9, 2.809 Å, I 100.0
2θ 32.1, 2.792 Å, I 98.3
2θ 35.4, 2.534 Å, I 38.0
2θ 35.5, 2.525 Å, I 37.6
2θ 40.1, 2.249 Å, I 26.8
2θ 51.1, 1.789 Å, I 27.3
2θ 54.6, 1.680 Å, I 22.0
2θ 61.6, 1.506 Å, I 31.2

***

No. 2
This entry pairs a crystal structure of AcPrCd4 with its simulated powder XRD pattern. Radiation: CuKα. Structure: a structure optimized by DFT (GGA-PBE).
Neutral-atom scattering factors, no anomalous dispersion.

Cell and atoms:
Lattice parameters (Å, degrees): 5.158 7.289 8.935 90.00 90.00 90.00
Positions (direct):
Ac 0.000 0.000 0.000
Ac 0.500 0.500 0.500
Pr 0.000 0.500 0.001
Pr 0.500 0.000 0.501
Cd 0.000 0.241 0.334
Cd 0.000 0.244 0.667
Cd 0.000 0.756 0.667
Cd 0.000 0.759 0.334
Cd 0.500 0.256 0.167
Cd 0.500 0.259 0.834
Cd 0.500 0.741 0.834
Cd 0.500 0.744 0.167

Peak list (10 most intense, 2θ from 5° to 70°, low angle first)
2θ 15.7, 5.648 Å, I 2.1
2θ 19.9, 4.467 Å, I 7.5
2θ 21.1, 4.211 Å, I 2.5
2θ 31.7, 2.824 Å, I 100.0
2θ 34.8, 2.579 Å, I 75.5
2θ 47.8, 1.904 Å, I 31.8
2θ 50.1, 1.822 Å, I 8.7
2θ 54.4, 1.688 Å, I 2.6
2θ 60.4, 1.532 Å, I 31.3
2θ 62.4, 1.489 Å, I 40.0

***

No. 3
This entry pairs a crystal structure of HoGaSn with its simulated powder XRD pattern. Radiation: CuKα. Structure: a structure optimized by DFT (GGA-PBE).
Neutral-atom scattering factors, no anomalous dispersion.

Cell and atoms:
Lattice parameters (Å, degrees): 9.811 4.043 7.435 90.00 90.00 90.00
Positions (direct):
Ho 0.246 0.250 0.112
Ho 0.254 0.750 0.612
Ho 0.746 0.250 0.388
Ho 0.754 0.750 0.888
Ga 0.077 0.750 0.928
Ga 0.423 0.250 0.428
Ga 0.577 0.750 0.572
Ga 0.923 0.250 0.072
Sn 0.010 0.750 0.317
Sn 0.490 0.250 0.817
Sn 0.510 0.750 0.183
Sn 0.990 0.250 0.683

Peak list (10 most intense, 2θ from 5° to 70°, low angle first)
2θ 25.6, 3.476 Å, I 34.3
2θ 26.7, 3.340 Å, I 35.4
2θ 31.1, 2.877 Å, I 100.0
2θ 34.0, 2.636 Å, I 43.1
2θ 36.6, 2.455 Å, I 73.0
2θ 37.4, 2.405 Å, I 64.1
2θ 42.8, 2.113 Å, I 33.4
2θ 44.8, 2.022 Å, I 30.6
2θ 59.2, 1.560 Å, I 36.5
2θ 62.5, 1.485 Å, I 20.2

***

No. 4
This entry pairs a crystal structure of Ac2Pm6Er3 with its simulated powder XRD pattern. Radiation: CuKα. Structure: a structure optimized by DFT (GGA-PBE).
Neutral-atom scattering factors, no anomalous dispersion.

Cell and atoms:
Lattice parameters (Å, degrees): 32.737 32.737 32.737 6.46 6.46 6.46
Positions (direct):
Ac 0.047 0.047 0.047
Ac 0.953 0.953 0.953
Pm 0.138 0.138 0.138
Pm 0.318 0.318 0.318
Pm 0.412 0.412 0.412
Pm 0.588 0.588 0.588
Pm 0.682 0.682 0.682
Pm 0.862 0.862 0.862
Er 0.225 0.225 0.225
Er 0.500 0.500 0.500
Er 0.775 0.775 0.775

Peak list (10 most intense, 2θ from 5° to 70°, low angle first)
2θ 29.7, 3.009 Å, I 100.0
2θ 30.1, 2.970 Å, I 28.2
2θ 32.9, 2.719 Å, I 4.1
2θ 34.5, 2.597 Å, I 64.0
2θ 49.4, 1.846 Å, I 25.1
2θ 49.9, 1.827 Å, I 18.6
2θ 58.7, 1.573 Å, I 14.8
2θ 58.9, 1.568 Å, I 25.6
2θ 59.4, 1.556 Å, I 9.6
2θ 61.7, 1.504 Å, I 12.1